# 1
The following is a calculated powder diffractogram of Tb4In16Co3. It was derived from DFT lattice parameters and positions (GGA-PBE), using Cu Kα (weighted mean of Kα1 and Kα2).
Intensities are scaled so that the largest is 100.

Atomic structure:
Unit cell a=6.556 b=6.556 c=12.209 alpha=90.00 beta=90.00 gamma=90.00
Space group P4/mmm (No. 123)
Inequivalent atoms, fractional coordinates:
Tb 0.000 0.500 0.196 x4
In 0.000 0.000 0.195 x2
In 0.228 0.228 0.000 x4
In 0.249 0.249 0.382 x8
In 0.500 0.500 0.209 x2
Co 0.000 0.500 0.500 x2
Co 0.500 0.500 0.000 x1

The 10 most intense peaks (2θ from 5° to 70°), sorted by position:
(2 0 2), 30.96°, I = 53.9; (2 0 3), 35.15°, I = 100.0; (0 0 5), 36.81°, I = 29.3; (2 2 0), 38.85°, I = 68.3; (2 0 4), 40.38°, I = 16.0; (2 2 5), 54.59°, I = 35.7; (4 0 0), 56.11°, I = 22.2; (2 0 8), 67.73°, I = 15.1; (4 2 3), 67.96°, I = 26.2; (4 0 5), 69.01°, I = 16.9

# 2
The following is a calculated powder diffractogram of Th12InCo6. It was derived from DFT lattice parameters and positions (GGA-PBE), using Cu Kα (weighted mean of Kα1 and Kα2).
Intensities are scaled so that the largest is 100.

Atomic structure:
Unit cell a=9.954 b=9.954 c=9.954 alpha=90.00 beta=90.00 gamma=90.00
Space group Im-3 (No. 204)
Inequivalent atoms, fractional coordinates:
Th 0.000 0.180 0.315 x24
In 0.000 0.000 0.000 x2
Co 0.000 0.367 0.500 x12

The 10 most intense peaks (2θ from 5° to 70°), sorted by position:
(2 2 0), 25.31°, I = 13.4; (3 1 0), 28.35°, I = 73.0; (2 2 2), 31.13°, I = 25.6; (3 2 1), 33.69°, I = 100.0; (4 1 3), 46.52°, I = 20.1; (5 0 3), 53.69°, I = 39.7; (6 0 0), 55.38°, I = 19.0; (5 3 2), 57.04°, I = 34.8; (6 3 1), 63.38°, I = 12.1; (5 3 4), 66.41°, I = 14.2

# 3
The following is a calculated powder diffractogram of Th6In10Co. It was derived from DFT lattice parameters and positions (GGA-PBE), using Cu Kα (weighted mean of Kα1 and Kα2).
Intensities are scaled so that the largest is 100.

Atomic structure:
Unit cell a=9.3467 b=9.3467 c=6.1964 alpha=90.00 beta=90.00 gamma=120.00
Space group P-31m (No. 162)
Inequivalent atoms, fractional coordinates:
Th 0.0000 0.3954 0.2331 x6
In 0.0000 0.2217 0.7165 x6
In 0.3333 0.6667 0.0000 x2
In 0.3333 0.6667 0.5000 x2
Co 0.0000 0.0000 0.0000 x1

The 10 most intense peaks (2θ from 5° to 70°), sorted by position:
(2 -1 1), 23.85°, I = 33.5; (0 0 2), 28.82°, I = 19.9; (2 1 0), 29.19°, I = 16.6; (2 1 1), 32.64°, I = 100.0; (3 0 0), 33.20°, I = 36.1; (2 -1 2), 34.74°, I = 60.7; (2 2 1), 41.29°, I = 20.9; (3 1 1), 42.84°, I = 21.6; (2 1 3), 53.53°, I = 19.7; (5 0 2), 65.00°, I = 24.5

# 4
The following is a calculated powder diffractogram of Th4InCo. It was derived from DFT lattice parameters and positions (GGA-PBE), using Cu Kα (weighted mean of Kα1 and Kα2).
Intensities are scaled so that the largest is 100.

Atomic structure:
Unit cell a=13.833 b=13.833 c=13.833 alpha=90.00 beta=90.00 gamma=90.00
Space group F-43m (No. 216)
Inequivalent atoms, fractional coordinates:
Th 0.000 0.000 0.186 x24
Th 0.057 0.250 0.750 x24
Th 0.095 0.095 0.405 x16
In 0.170 0.170 0.170 x16
Co 0.110 0.110 0.610 x16

The 10 most intense peaks (2θ from 5° to 70°), sorted by position:
(3 3 1), 28.12°, I = 44.4; (4 2 2), 31.69°, I = 67.0; (5 1 1), 33.67°, I = 100.0; (4 4 0), 36.75°, I = 27.7; (5 5 1), 46.91°, I = 8.9; (7 3 3), 54.28°, I = 19.3; (6 6 0), 56.44°, I = 60.1; (5 5 5), 57.72°, I = 13.6; (9 3 3), 67.35°, I = 17.6; (10 2 0), 69.27°, I = 9.6